(1)
Starting from a PBE-relaxed structure, the XRD peak list of U5In was calculated for Cu Kα.
Intensities are scaled so that the largest is 100.

```
data_U5In
_chemical_formula_sum 'U10 In2'
_cell_length_a 5.3217
_cell_length_b 15.9144
_cell_length_c 3.0088
_cell_angle_alpha 90.00
_cell_angle_beta 90.00
_cell_angle_gamma 90.00
_space_group_name_H-M_alt 'C m m m'
_space_group_IT_number 65
_space_group_name_Hall '-C 2 2'
loop_
_atom_site_label
_atom_site_type_symbol
_atom_site_fract_x
_atom_site_fract_y
_atom_site_fract_z
_atom_site_occupancy
U1 U 0.0000 0.0000 0.0000 1
U2 U 0.0000 0.1540 0.5000 1
U3 U 0.0000 0.3166 0.0000 1
In1 In 0.0000 0.5000 0.5000 1
```

Peak list (10 most intense, 2θ = 10–90°, in order of rising 2θ)
2θ (°), I/Imax, index
17.6, 7, 1 1 0
33.7, 37, 2 0 0
33.8, 29, 0 6 0
38.3, 100, 1 3 1
43.3, 9, 1 7 0
48.5, 22, 2 6 0
63.3, 24, 3 3 1
63.5, 14, 1 9 1
72.2, 16, 2 0 2
82.1, 10, 2 6 2

(2)
Starting from a PBE-relaxed structure, the XRD peak list of YU2In9 was calculated for Cu Kα.
Intensities are scaled so that the largest is 100.

```
data_YU2In9
_chemical_formula_sum 'Y1 U2 In9'
_cell_length_a 4.6346
_cell_length_b 4.6346
_cell_length_c 13.9170
_cell_angle_alpha 90.00
_cell_angle_beta 90.00
_cell_angle_gamma 90.00
_space_group_name_H-M_alt 'P 4/m m m'
_space_group_IT_number 123
_space_group_name_Hall '-P 4 2'
loop_
_atom_site_label
_atom_site_type_symbol
_atom_site_fract_x
_atom_site_fract_y
_atom_site_fract_z
_atom_site_occupancy
Y1 Y 0.0000 0.0000 0.0000 1
U1 U 0.0000 0.0000 0.3327 1
In1 In 0.0000 0.5000 0.1673 1
In2 In 0.0000 0.5000 0.5000 1
In3 In 0.5000 0.5000 0.0000 1
In4 In 0.5000 0.5000 0.3340 1
```

Peak list (10 most intense, 2θ = 10–90°, in order of rising 2θ)
2θ (°), I/Imax, index
19.1, 4, 1 0 0
20.2, 2, 1 0 1
27.2, 4, 1 1 0
33.5, 100, 1 1 3
38.8, 50, 2 0 0
43.7, 2, 2 1 0
56.1, 34, 2 2 0
66.9, 39, 3 1 3
70.3, 11, 2 2 6
83.4, 5, 4 0 0

(3)
Starting from a PBE-relaxed structure, the XRD peak list of Y4In was calculated for Cu Kα.
Intensities are scaled so that the largest is 100.

```
data_Y4In
_chemical_formula_sum 'Y16 In4'
_cell_length_a 17.8578
_cell_length_b 4.8535
_cell_length_c 6.9453
_cell_angle_alpha 90.00
_cell_angle_beta 100.26
_cell_angle_gamma 90.00
_space_group_name_H-M_alt 'C 1 2/m 1'
_space_group_IT_number 12
_space_group_name_Hall '-C 2y'
loop_
_atom_site_label
_atom_site_type_symbol
_atom_site_fract_x
_atom_site_fract_y
_atom_site_fract_z
_atom_site_occupancy
Y1 Y 0.0000 0.0000 0.0000 1
Y2 Y 0.0000 0.0000 0.5000 1
Y3 Y 0.1018 0.5000 0.2915 1
Y4 Y 0.1934 0.0000 0.5980 1
Y5 Y 0.2031 0.0000 0.1006 1
In1 In 0.0956 0.5000 0.7950 1
```

Peak list (10 most intense, 2θ = 10–90°, in order of rising 2θ)
2θ (°), I/Imax, index
31.4, 100, 5 1 0
31.7, 99, 1 1 -2
36.1, 34, 4 0 2
36.7, 32, 6 0 -2
37.0, 32, 0 2 0
52.7, 34, 2 0 -4
53.1, 22, 6 2 -2
61.8, 13, 9 1 2
62.3, 13, 3 1 4
63.4, 13, 1 3 -2

(4)
Starting from a PBE-relaxed structure, the XRD peak list of Y3In5 was calculated for Cu Kα.
Intensities are scaled so that the largest is 100.

```
data_Y3In5
_chemical_formula_sum 'Y12 In20'
_cell_length_a 9.9100
_cell_length_b 8.0874
_cell_length_c 10.4043
_cell_angle_alpha 90.00
_cell_angle_beta 90.00
_cell_angle_gamma 90.00
_space_group_name_H-M_alt 'C m c m'
_space_group_IT_number 63
_space_group_name_Hall '-C 2c 2'
loop_
_atom_site_label
_atom_site_type_symbol
_atom_site_fract_x
_atom_site_fract_y
_atom_site_fract_z
_atom_site_occupancy
Y1 Y 0.0000 0.1190 0.2500 1
Y2 Y 0.2046 0.5000 0.0000 1
In1 In 0.0000 0.1929 0.5444 1
In2 In 0.0000 0.4953 0.7500 1
In3 In 0.2173 0.2103 0.7500 1
```

Peak list (10 most intense, 2θ = 10–90°, in order of rising 2θ)
2θ (°), I/Imax, index
29.4, 11, 1 1 3
33.4, 100, 2 2 2
34.0, 23, 3 1 2
34.5, 58, 0 0 4
36.3, 24, 4 0 0
38.7, 17, 2 2 3
39.3, 21, 3 1 3
50.9, 12, 4 0 4
57.7, 16, 5 3 0
66.9, 16, 3 5 2

(5)
Starting from a PBE-relaxed structure, the XRD peak list of Y2In was calculated for Cu Kα.
Intensities are scaled so that the largest is 100.

```
data_Y2In
_chemical_formula_sum 'Y6 In3'
_cell_length_a 8.9043
_cell_length_b 8.9043
_cell_length_c 3.8287
_cell_angle_alpha 90.00
_cell_angle_beta 90.00
_cell_angle_gamma 120.00
_space_group_name_H-M_alt 'P -6 2 m'
_space_group_IT_number 189
_space_group_name_Hall 'P -6 -2'
loop_
_atom_site_label
_atom_site_type_symbol
_atom_site_fract_x
_atom_site_fract_y
_atom_site_fract_z
_atom_site_occupancy
Y1 Y 0.0000 0.2844 0.0000 1
Y2 Y 0.0000 0.6168 0.5000 1
In1 In 0.0000 0.0000 0.5000 1
In2 In 0.3333 0.6667 0.0000 1
```

Peak list (10 most intense, 2θ = 10–90°, in order of rising 2θ)
2θ (°), I/Imax, index
30.7, 27, 2 1 0
30.8, 99, 1 1 1
33.0, 73, 2 0 1
34.9, 100, 3 0 0
38.8, 41, 2 1 1
47.2, 16, 2 2 1
47.5, 20, 0 0 2
57.4, 41, 3 2 1
60.3, 39, 3 0 2
65.2, 17, 5 0 1

(6)
Starting from a PBE-relaxed structure, the XRD peak list of Y4In3 was calculated for Cu Kα.
Intensities are scaled so that the largest is 100.

```
data_Y4In3
_chemical_formula_sum 'Y24 In18'
_cell_length_a 14.2204
_cell_length_b 14.2204
_cell_length_c 6.6197
_cell_angle_alpha 90.00
_cell_angle_beta 90.00
_cell_angle_gamma 120.00
_space_group_name_H-M_alt 'R -3'
_space_group_IT_number 148
_space_group_name_Hall '-R 3'
loop_
_atom_site_label
_atom_site_type_symbol
_atom_site_fract_x
_atom_site_fract_y
_atom_site_fract_z
_atom_site_occupancy
Y1 Y 0.0000 0.0000 0.0000 1
Y2 Y 0.0000 0.0000 0.5000 1
Y3 Y 0.0525 0.2514 0.1796 1
In1 In 0.0484 0.2250 0.6988 1
```

Peak list (10 most intense, 2θ = 10–90°, in order of rising 2θ)
2θ (°), I/Imax, index
29.4, 6, 4 -3 1
33.2, 99, 3 -2 2
33.3, 100, 1 4 0
47.8, 32, 4 2 2
59.3, 14, 2 1 4
59.5, 45, 6 3 0
69.7, 8, 6 -4 4
70.0, 9, 2 8 0
79.5, 10, 3 5 4
79.7, 11, 5 6 2

(7)
Starting from a PBE-relaxed structure, the XRD peak list of Y5In3 was calculated for Cu Kα.
Intensities are scaled so that the largest is 100.

```
data_Y5In3
_chemical_formula_sum 'Y10 In6'
_cell_length_a 9.0803
_cell_length_b 9.0803
_cell_length_c 6.5847
_cell_angle_alpha 90.00
_cell_angle_beta 90.00
_cell_angle_gamma 120.00
_space_group_name_H-M_alt 'P 63/m c m'
_space_group_IT_number 193
_space_group_name_Hall '-P 6c 2'
loop_
_atom_site_label
_atom_site_type_symbol
_atom_site_fract_x
_atom_site_fract_y
_atom_site_fract_z
_atom_site_occupancy
Y1 Y 0.0000 0.2368 0.2500 1
Y2 Y 0.3333 0.6667 0.0000 1
In1 In 0.0000 0.4022 0.7500 1
```

Peak list (10 most intense, 2θ = 10–90°, in order of rising 2θ)
2θ (°), I/Imax, index
27.1, 23, 0 0 2
30.1, 26, 2 1 0
33.1, 100, 2 1 1
33.6, 65, 1 1 2
34.2, 31, 3 0 0
35.6, 13, 2 0 2
43.7, 18, 3 1 1
48.7, 11, 2 2 2
51.8, 27, 2 1 3
65.8, 19, 5 0 2

(8)
Starting from a PBE-relaxed structure, the XRD peak list of Y3Zn8In3 was calculated for Cu Kα.
Intensities are scaled so that the largest is 100.

```
data_Y3Zn8In3
_chemical_formula_sum 'Y6 Zn16 In6'
_cell_length_a 4.3535
_cell_length_b 9.8878
_cell_length_c 12.9989
_cell_angle_alpha 90.00
_cell_angle_beta 90.00
_cell_angle_gamma 90.00
_space_group_name_H-M_alt 'I m m m'
_space_group_IT_number 71
_space_group_name_Hall '-I 2 2'
loop_
_atom_site_label
_atom_site_type_symbol
_atom_site_fract_x
_atom_site_fract_y
_atom_site_fract_z
_atom_site_occupancy
Y1 Y 0.0000 0.0000 0.0000 1
Y2 Y 0.0000 0.0000 0.3032 1
Zn1 Zn 0.0000 0.2637 0.1548 1
Zn2 Zn 0.0000 0.3757 0.3340 1
In1 In 0.0000 0.2185 0.5000 1
In2 In 0.0000 0.5000 0.0000 1
```

Peak list (10 most intense, 2θ = 10–90°, in order of rising 2θ)
2θ (°), I/Imax, index
28.2, 10, 1 2 1
34.2, 17, 0 3 3
34.4, 100, 1 2 3
36.3, 8, 0 4 0
36.9, 20, 1 3 2
41.5, 29, 2 0 0
41.7, 22, 0 0 6
60.3, 14, 2 0 6
64.1, 10, 1 6 3
71.1, 11, 3 2 3

(9)
Starting from a PBE-relaxed structure, the XRD peak list of YZnIn was calculated for Cu Kα.
Intensities are scaled so that the largest is 100.

```
data_YZnIn
_chemical_formula_sum 'Y4 Zn4 In4'
_cell_length_a 6.4812
_cell_length_b 4.6442
_cell_length_c 9.3120
_cell_angle_alpha 90.00
_cell_angle_beta 90.00
_cell_angle_gamma 90.00
_space_group_name_H-M_alt 'P n m a'
_space_group_IT_number 62
_space_group_name_Hall '-P 2ac 2n'
loop_
_atom_site_label
_atom_site_type_symbol
_atom_site_fract_x
_atom_site_fract_y
_atom_site_fract_z
_atom_site_occupancy
Y1 Y 0.1431 0.2500 0.0961 1
Zn1 Zn 0.0855 0.2500 0.7475 1
In1 In 0.1345 0.2500 0.4259 1
```

Peak list (10 most intense, 2θ = 10–90°, in order of rising 2θ)
2θ (°), I/Imax, index
33.7, 100, 2 1 0
34.8, 94, 0 1 3
38.8, 36, 0 2 0
40.2, 57, 2 0 3
57.1, 40, 2 2 3
67.0, 12, 2 3 0
67.6, 13, 0 3 3
68.4, 17, 4 1 3
70.2, 19, 2 1 6
73.4, 9, 0 2 6

(10)
Starting from a PBE-relaxed structure, the XRD peak list of Y6ZnIn5 was calculated for Cu Kα.
Intensities are scaled so that the largest is 100.

```
data_Y6ZnIn5
_chemical_formula_sum 'Y6 Zn1 In5'
_cell_length_a 5.3012
_cell_length_b 7.4235
_cell_length_c 8.3817
_cell_angle_alpha 90.00
_cell_angle_beta 108.31
_cell_angle_gamma 90.00
_space_group_name_H-M_alt 'P 1 2/m 1'
_space_group_IT_number 10
_space_group_name_Hall '-P 2y'
loop_
_atom_site_label
_atom_site_type_symbol
_atom_site_fract_x
_atom_site_fract_y
_atom_site_fract_z
_atom_site_occupancy
Y1 Y 0.0000 0.2431 0.0000 1
Y2 Y 0.3369 0.2459 0.6735 1
Zn1 Zn 0.5000 0.0000 0.0000 1
In1 In 0.1662 0.0000 0.3325 1
In2 In 0.1681 0.5000 0.3364 1
In3 In 0.5000 0.5000 0.0000 1
```

Peak list (10 most intense, 2θ = 10–90°, in order of rising 2θ)
2θ (°), I/Imax, index
33.8, 51, 2 0 -1
34.0, 100, 1 2 1
48.5, 9, 2 0 2
48.6, 9, 2 0 -4
49.1, 9, 0 4 0
60.6, 27, 3 2 0
60.6, 9, 3 2 -3
60.9, 17, 2 4 -1
71.5, 11, 2 4 2
82.0, 7, 1 6 1

(11)
Starting from a PBE-relaxed structure, the XRD peak list of YZr2In was calculated for Cu Kα.
Intensities are scaled so that the largest is 100.

```
data_YZr2In
_chemical_formula_sum 'Y1 Zr2 In1'
_cell_length_a 4.5719
_cell_length_b 4.5719
_cell_length_c 4.6133
_cell_angle_alpha 90.00
_cell_angle_beta 90.00
_cell_angle_gamma 90.00
_space_group_name_H-M_alt 'P 4/m m m'
_space_group_IT_number 123
_space_group_name_Hall '-P 4 2'
loop_
_atom_site_label
_atom_site_type_symbol
_atom_site_fract_x
_atom_site_fract_y
_atom_site_fract_z
_atom_site_occupancy
Y1 Y 0.0000 0.0000 0.0000 1
Zr1 Zr 0.0000 0.5000 0.5000 1
In1 In 0.5000 0.5000 0.0000 1
```

Peak list (10 most intense, 2θ = 10–90°, in order of rising 2θ)
2θ (°), I/Imax, index
33.9, 100, 1 1 1
39.0, 17, 0 0 2
39.4, 33, 2 0 0
56.7, 22, 2 0 2
57.0, 11, 2 2 0
67.4, 13, 1 1 3
67.9, 25, 3 1 1
71.2, 11, 2 2 2
83.9, 2, 0 0 4
84.8, 3, 4 0 0

(12)
Starting from a PBE-relaxed structure, the XRD peak list of YZrIn2 was calculated for Cu Kα.
Intensities are scaled so that the largest is 100.

```
data_YZrIn2
_chemical_formula_sum 'Y1 Zr1 In2'
_cell_length_a 3.2894
_cell_length_b 3.2894
_cell_length_c 8.9173
_cell_angle_alpha 90.00
_cell_angle_beta 90.00
_cell_angle_gamma 90.00
_space_group_name_H-M_alt 'P 4/m m m'
_space_group_IT_number 123
_space_group_name_Hall '-P 4 2'
loop_
_atom_site_label
_atom_site_type_symbol
_atom_site_fract_x
_atom_site_fract_y
_atom_site_fract_z
_atom_site_occupancy
Y1 Y 0.0000 0.0000 0.0000 1
Zr1 Zr 0.0000 0.0000 0.5000 1
In1 In 0.5000 0.5000 0.2617 1
```

Peak list (10 most intense, 2θ = 10–90°, in order of rising 2θ)
2θ (°), I/Imax, index
33.9, 100, 1 0 2
38.7, 35, 1 1 0
40.5, 15, 0 0 4
55.9, 12, 2 0 0
57.2, 20, 1 1 4
67.0, 26, 2 1 2
69.4, 11, 1 0 6
71.3, 10, 2 0 4
83.0, 4, 2 2 0
87.5, 1, 0 0 8